For Ag2Te4MoO12, a crystal structure in Alexandria, relaxed with PBE+U gives the simulated X-ray powder pattern in this record (Cu Kα X-rays).
Neutral-atom scattering factors, no anomalous dispersion.

Structure:
Cell lengths 9.338, 9.338, 11.653 Å; angles 104.35, 104.35, 37.09 degrees
Sites, in units of the cell vectors:
Ag: 0.003 0.429 0.271
Ag: 0.429 0.003 0.771
Ag: 0.571 0.997 0.229
Ag: 0.997 0.571 0.729
Te: 0.129 0.690 0.403
Te: 0.180 0.508 0.068
Te: 0.310 0.871 0.097
Te: 0.492 0.820 0.432
Te: 0.508 0.180 0.568
Te: 0.690 0.129 0.903
Te: 0.820 0.492 0.932
Te: 0.871 0.310 0.597
Mo: 0.336 0.664 0.750
Mo: 0.664 0.336 0.250
O: 0.004 0.688 0.246
O: 0.129 0.834 0.858
O: 0.166 0.871 0.642
O: 0.170 0.314 0.071
O: 0.285 0.492 0.669
O: 0.312 0.996 0.254
O: 0.314 0.170 0.571
O: 0.320 0.365 0.418
O: 0.365 0.320 0.918
O: 0.371 0.612 0.367
O: 0.388 0.629 0.133
O: 0.492 0.285 0.169
O: 0.508 0.715 0.831
O: 0.612 0.371 0.867
O: 0.629 0.388 0.633
O: 0.635 0.680 0.082
O: 0.680 0.635 0.582
O: 0.686 0.830 0.429
O: 0.688 0.004 0.746
O: 0.715 0.508 0.331
O: 0.830 0.686 0.929
O: 0.834 0.129 0.358
O: 0.871 0.166 0.142
O: 0.996 0.312 0.754

Largest 10 diffraction maxima, sorted by position, 10 to 80 degrees two-theta:
Position (°2θ), d/Å, intensity
21.57, 4.120, 21
24.29, 3.665, 17
27.45, 3.249, 70
29.38, 3.040, 100
30.09, 2.970, 23
33.58, 2.669, 20
38.71, 2.326, 19
42.55, 2.125, 19
49.74, 1.833, 20
53.26, 1.720, 16